Entry 1:
Starting from the PBE geometry in OQMD, the powder XRD pattern of LiTa3Sb5 was simulated for Cu Kα (weighted mean of Kα1 and Kα2).
Intensities are scaled so that the largest is 100.

abc: 5.7430 5.7430 8.7247
angles: 90.00 90.00 120.00
Element x y z (fractional)
1 Li 0.0000 0.0000 0.0000
2 Ta 0.0000 0.5000 0.5000
3 Ta 0.5000 0.0000 0.5000
4 Ta 0.5000 0.5000 0.5000
5 Sb 0.0000 0.0000 0.5000
6 Sb 0.3333 0.6667 0.2233
7 Sb 0.3333 0.6667 0.7767
8 Sb 0.6667 0.3333 0.2233
9 Sb 0.6667 0.3333 0.7767

Principal peaks in the range 10 to 80 degrees two-theta, by angle:
10.14°, 8.725 Å, intensity 100; 17.83°, 4.974 Å, intensity 24; 30.74°, 2.908 Å, intensity 19; 31.15°, 2.872 Å, intensity 13; 37.50°, 2.399 Å, intensity 22; 37.61°, 2.392 Å, intensity 40; 41.81°, 2.160 Å, intensity 50; 48.14°, 1.890 Å, intensity 12

Entry 2:
Starting from the PBE geometry in OQMD, the powder XRD pattern of Ni16W13 was simulated for Cu Kα (weighted mean of Kα1 and Kα2).
Intensities are scaled so that the largest is 100.

abc: 7.9131 7.9131 7.9131
angles: 109.47 109.47 109.47
Element x y z (fractional)
1 Ni 0.0000 0.0000 0.6738
2 Ni 0.0000 0.1861 0.3687
3 Ni 0.0000 0.3687 0.1861
4 Ni 0.0000 0.6738 0.0000
5 Ni 0.1826 0.8139 0.8139
6 Ni 0.1861 0.0000 0.3687
7 Ni 0.1861 0.3687 0.0000
8 Ni 0.3262 0.3262 0.3262
9 Ni 0.3687 0.0000 0.1861
10 Ni 0.3687 0.1861 0.0000
11 Ni 0.6313 0.6313 0.8174
12 Ni 0.6313 0.8174 0.6313
13 Ni 0.6738 0.0000 0.0000
14 Ni 0.8139 0.1826 0.8139
15 Ni 0.8139 0.8139 0.1826
16 Ni 0.8174 0.6313 0.6313
17 W 0.0000 0.0000 0.0000
18 W 0.0000 0.4062 0.6963
19 W 0.0000 0.6963 0.4062
20 W 0.2901 0.5938 0.5938
21 W 0.3037 0.3037 0.7099
22 W 0.3037 0.7099 0.3037
23 W 0.4062 0.0000 0.6963
24 W 0.4062 0.6963 0.0000
25 W 0.5938 0.2901 0.5938
26 W 0.5938 0.5938 0.2901
27 W 0.6963 0.0000 0.4062
28 W 0.6963 0.4062 0.0000
29 W 0.7099 0.3037 0.3037

Principal peaks in the range 10 to 80 degrees two-theta, by angle:
23.85°, 3.730 Å, intensity 15; 33.99°, 2.638 Å, intensity 10; 36.80°, 2.442 Å, intensity 10; 39.45°, 2.284 Å, intensity 11; 41.95°, 2.154 Å, intensity 100; 46.62°, 1.948 Å, intensity 17; 50.96°, 1.792 Å, intensity 16; 76.63°, 1.243 Å, intensity 27

Entry 3:
Starting from the PBE geometry in OQMD, the powder XRD pattern of K2Ba3Cu2Sb2S10 was simulated for Cu Kα (weighted mean of Kα1 and Kα2).
Intensities are scaled so that the largest is 100.

abc: 8.7832 8.7832 9.2877
angles: 112.49 112.49 49.41
Element x y z (fractional)
1 K 0.2086 0.2086 0.4345
2 K 0.7914 0.7914 0.5655
3 Ba 0.3327 0.3327 0.9899
4 Ba 0.5000 0.5000 0.5000
5 Ba 0.6673 0.6673 0.0101
6 Cu 0.2056 0.7944 0.0000
7 Cu 0.7944 0.2056 0.0000
8 Sb 0.0689 0.0689 0.7159
9 Sb 0.9311 0.9311 0.2841
10 S 0.0747 0.5812 0.2851
11 S 0.1180 0.1180 0.0054
12 S 0.2878 0.5827 0.7624
13 S 0.4173 0.7122 0.2376
14 S 0.4188 0.9253 0.7149
15 S 0.5812 0.0747 0.2851
16 S 0.5827 0.2878 0.7624
17 S 0.7122 0.4173 0.2376
18 S 0.8820 0.8820 0.9946
19 S 0.9253 0.4188 0.7149

Principal peaks in the range 10 to 80 degrees two-theta, by angle:
10.50°, 8.424 Å, intensity 30; 12.27°, 7.215 Å, intensity 62; 22.82°, 3.896 Å, intensity 30; 27.28°, 3.269 Å, intensity 43; 27.69°, 3.222 Å, intensity 100; 31.80°, 2.814 Å, intensity 69; 33.16°, 2.701 Å, intensity 92; 42.94°, 2.106 Å, intensity 34

Entry 4:
Starting from the PBE geometry in OQMD, the powder XRD pattern of SrZrO3 was simulated for Cu Kα (weighted mean of Kα1 and Kα2).
Intensities are scaled so that the largest is 100.

abc: 5.7670 5.7670 4.1902
angles: 90.00 90.00 90.00
Element x y z (fractional)
1 Sr 0.0000 0.5000 0.0000
2 Sr 0.5000 0.0000 0.0000
3 Zr 0.0000 0.0000 0.5000
4 Zr 0.5000 0.5000 0.5000
5 O 0.0000 0.0000 0.0000
6 O 0.1894 0.3106 0.5000
7 O 0.3106 0.8106 0.5000
8 O 0.5000 0.5000 0.0000
9 O 0.6894 0.1894 0.5000
10 O 0.8106 0.6894 0.5000

Principal peaks in the range 10 to 80 degrees two-theta, by angle:
30.59°, 2.922 Å, intensity 100; 31.01°, 2.883 Å, intensity 57; 43.18°, 2.095 Å, intensity 20; 44.43°, 2.039 Å, intensity 31; 54.11°, 1.695 Å, intensity 23; 54.91°, 1.672 Å, intensity 46; 63.69°, 1.461 Å, intensity 20; 73.43°, 1.290 Å, intensity 11

Entry 5:
Starting from the PBE geometry in OQMD, the powder XRD pattern of BaSrCdP2 was simulated for Cu Kα (weighted mean of Kα1 and Kα2).
Intensities are scaled so that the largest is 100.

abc: 8.5286 8.5286 8.0500
angles: 90.00 90.00 150.12
Element x y z (fractional)
1 Ba 0.0466 0.9534 0.5000
2 Ba 0.9534 0.0466 0.0000
3 Sr 0.2028 0.7972 0.1484
4 Sr 0.7972 0.2028 0.6484
5 Cd 0.4009 0.5991 0.3548
6 Cd 0.5991 0.4009 0.8548
7 P 0.1808 0.8192 0.7773
8 P 0.4384 0.5616 0.6916
9 P 0.5616 0.4384 0.1916
10 P 0.8192 0.1808 0.2773

Principal peaks in the range 10 to 80 degrees two-theta, by angle:
24.27°, 3.668 Å, intensity 29; 24.62°, 3.617 Å, intensity 34; 28.26°, 3.158 Å, intensity 100; 30.60°, 2.922 Å, intensity 55; 33.99°, 2.637 Å, intensity 43; 34.33°, 2.612 Å, intensity 35; 35.17°, 2.551 Å, intensity 38; 41.05°, 2.199 Å, intensity 30